1.
This entry pairs a crystal structure of Sm3Si4Rh7 with its calculated XRD peak list. Radiation: Cu Kα. Structure: DFT lattice parameters and positions (GGA-PBE).

Most intense lines, 5° ≤ 2θ ≤ 70°, by intensity:
2θ 36.02, rel. 100; 2θ 36.88, rel. 65; 2θ 44.84, rel. 42; 2θ 43.33, rel. 33; 2θ 36.48, rel. 29; 2θ 38.66, rel. 22; 2θ 60.64, rel. 22; 2θ 64.12, rel. 21; 2θ 69.35, rel. 18; 2θ 39.71, rel. 18

Structural model:
```
data_Sm3Si4Rh7
_cell_length_a 15.348
_cell_length_b 4.043
_cell_length_c 9.323
_cell_angle_alpha 90.00
_cell_angle_beta 125.27
_cell_angle_gamma 90.00
_symmetry_space_group_name_H-M 'C 1 2/m 1'
_symmetry_Int_Tables_number 12
_symmetry_space_group_name_Hall '-C 2y'
loop_
_atom_site_label
_atom_site_type_symbol
_atom_site_fract_x
_atom_site_fract_y
_atom_site_fract_z
_atom_site_occupancy
Sm1 Sm 0.000 0.000 0.000 1
Sm2 Sm 0.170 0.500 0.666 1
Si1 Si 0.114 0.000 0.837 1
Si2 Si 0.166 0.500 0.283 1
Rh1 Rh 0.000 0.000 0.500 1
Rh2 Rh 0.004 0.500 0.270 1
Rh3 Rh 0.164 0.000 0.421 1
Rh4 Rh 0.196 0.500 0.047 1
```

2.
This entry pairs a crystal structure of Sm3Si3Rh2 with its calculated XRD peak list. Radiation: Cu Kα. Structure: DFT lattice parameters and positions (GGA-PBE).

Most intense lines, 5° ≤ 2θ ≤ 70°, by intensity:
2θ 32.39, rel. 100; 2θ 37.08, rel. 76; 2θ 34.27, rel. 69; 2θ 38.16, rel. 59; 2θ 37.79, rel. 46; 2θ 37.46, rel. 43; 2θ 28.21, rel. 42; 2θ 26.49, rel. 40; 2θ 55.62, rel. 38; 2θ 31.33, rel. 29

Structural model:
```
data_Sm3Si3Rh2
_cell_length_a 7.681
_cell_length_b 14.282
_cell_length_c 6.057
_cell_angle_alpha 90.00
_cell_angle_beta 90.00
_cell_angle_gamma 90.00
_symmetry_space_group_name_H-M 'P n m a'
_symmetry_Int_Tables_number 62
_symmetry_space_group_name_Hall '-P 2ac 2n'
loop_
_atom_site_label
_atom_site_type_symbol
_atom_site_fract_x
_atom_site_fract_y
_atom_site_fract_z
_atom_site_occupancy
Sm1 Sm 0.021 0.108 0.138 1
Sm2 Sm 0.163 0.250 0.630 1
Si1 Si 0.176 0.045 0.603 1
Si2 Si 0.190 0.750 0.595 1
Rh1 Rh 0.128 0.592 0.381 1
```

3.
This entry pairs a crystal structure of SmSi2Rh3 with its calculated XRD peak list. Radiation: Cu Kα. Structure: DFT lattice parameters and positions (GGA-PBE).

Most intense lines, 5° ≤ 2θ ≤ 70°, by intensity:
2θ 37.26, rel. 100; 2θ 30.62, rel. 91; 2θ 40.66, rel. 79; 2θ 63.74, rel. 41; 2θ 56.33, rel. 32; 2θ 67.18, rel. 25; 2θ 44.97, rel. 23; 2θ 63.10, rel. 21; 2θ 49.72, rel. 21; 2θ 32.12, rel. 8

Structural model:
```
data_SmSi2Rh3
_cell_length_a 5.5734
_cell_length_b 5.5734
_cell_length_c 3.6672
_cell_angle_alpha 90.00
_cell_angle_beta 90.00
_cell_angle_gamma 120.00
_symmetry_space_group_name_H-M 'P 6/m m m'
_symmetry_Int_Tables_number 191
_symmetry_space_group_name_Hall '-P 6 2'
loop_
_atom_site_label
_atom_site_type_symbol
_atom_site_fract_x
_atom_site_fract_y
_atom_site_fract_z
_atom_site_occupancy
Sm1 Sm 0.0000 0.0000 0.0000 1
Si1 Si 0.3333 0.6667 0.0000 1
Rh1 Rh 0.0000 0.5000 0.5000 1
```